# ZrH4NCl4
Theoretical XRD peak list, copper Kα. Input: a PBE-relaxed structure.
Neutral-atom scattering factors, no anomalous dispersion.

Principal peaks in the range 5° ≤ 2θ ≤ 70°, in order of falling intensity:
two_theta, d (Å), I (rel.)
21.32, 4.167, 100
13.70, 6.461, 92
35.21, 2.549, 61
35.09, 2.558, 37
30.40, 2.940, 31
28.28, 3.156, 30

Structure:
Cell: 8.820 8.820 8.820 Å, 131.58 131.58 70.90°
Element x y z (fractional)
1 Zr 0.375 0.125 0.250
2 Zr 0.625 0.875 0.750
3 H 0.023 0.617 0.306
4 H 0.117 0.311 0.594
5 H 0.189 0.283 0.806
6 H 0.217 0.523 0.906
7 H 0.783 0.477 0.094
8 H 0.811 0.717 0.194
9 H 0.883 0.689 0.406
10 H 0.977 0.383 0.694
11 N 0.125 0.375 0.750
12 N 0.875 0.625 0.250
13 Cl 0.108 0.266 0.299
14 Cl 0.234 0.033 0.842
15 Cl 0.309 0.608 0.342
16 Cl 0.467 0.809 0.201
17 Cl 0.533 0.191 0.799
18 Cl 0.691 0.392 0.658
19 Cl 0.766 0.967 0.158
20 Cl 0.892 0.734 0.701